[1]
Diffraction record for TbTaBi2O8. The powder diffractogram is simulated, not measured: it uses DFT lattice parameters and positions (PBE) and Cu Ka.

Largest 10 diffraction maxima, sorted by position, 2θ from 10° to 90°:
- 24.7 deg, I = 54
- 24.9 deg, I = 54
- 31.4 deg, I = 100
- 35.4 deg, I = 32
- 47.9 deg, I = 38
- 48.1 deg, I = 39
- 57.2 deg, I = 11
- 59.6 deg, I = 10
- 61.0 deg, I = 22
- 65.5 deg, I = 12

Cell and atoms:
```
data_TbTaBi2O8
_symmetry_space_group_name_H-M 'P 1'
_symmetry_Int_Tables_number 1
_cell_length_a 5.076
_cell_length_b 6.882
_cell_length_c 5.081
_cell_angle_alpha 90.00
_cell_angle_beta 90.48
_cell_angle_gamma 90.00
loop_
_symmetry_equiv_pos_as_xyz
'x,y,z'
loop_
_atom_site_label
_atom_site_type_symbol
_atom_site_fract_x
_atom_site_fract_y
_atom_site_fract_z
Tb1 Tb 0.000 0.000 0.000
Ta1 Ta 0.000 0.500 0.000
Bi1 Bi 0.500 0.255 0.500
Bi2 Bi 0.500 0.745 0.500
O1 O 0.184 0.279 0.182
O2 O 0.184 0.721 0.182
O3 O 0.282 0.500 0.716
O4 O 0.312 0.000 0.685
O5 O 0.688 0.000 0.315
O6 O 0.718 0.500 0.284
O7 O 0.816 0.279 0.818
O8 O 0.816 0.721 0.818
```

=====

[2]
Diffraction record for Pu6MnGe3. The powder diffractogram is simulated, not measured: it uses DFT lattice parameters and positions (PBE) and Cu Ka.

Largest 10 diffraction maxima, sorted by position, 2θ from 10° to 90°:
- 21.9 deg, I = 18
- 32.1 deg, I = 21
- 32.4 deg, I = 23
- 35.7 deg, I = 10
- 36.0 deg, I = 100
- 46.2 deg, I = 16
- 57.1 deg, I = 18
- 60.2 deg, I = 13
- 67.2 deg, I = 15
- 69.4 deg, I = 13

Cell and atoms:
```
data_Pu6MnGe3
_symmetry_space_group_name_H-M 'P 1'
_symmetry_Int_Tables_number 1
_cell_length_a 7.857
_cell_length_b 7.857
_cell_length_c 7.857
_cell_angle_alpha 76.00
_cell_angle_beta 76.00
_cell_angle_gamma 76.00
loop_
_symmetry_equiv_pos_as_xyz
'x,y,z'
loop_
_atom_site_label
_atom_site_type_symbol
_atom_site_fract_x
_atom_site_fract_y
_atom_site_fract_z
Pu1 Pu 0.135 0.783 0.783
Pu2 Pu 0.158 0.529 0.529
Pu3 Pu 0.217 0.217 0.865
Pu4 Pu 0.217 0.865 0.217
Pu5 Pu 0.471 0.471 0.842
Pu6 Pu 0.471 0.842 0.471
Pu7 Pu 0.529 0.158 0.529
Pu8 Pu 0.529 0.529 0.158
Pu9 Pu 0.783 0.135 0.783
Pu10 Pu 0.783 0.783 0.135
Pu11 Pu 0.842 0.471 0.471
Pu12 Pu 0.865 0.217 0.217
Mn1 Mn 0.000 0.000 0.000
Mn2 Mn 0.500 0.500 0.500
Ge1 Ge 0.151 0.151 0.483
Ge2 Ge 0.151 0.483 0.151
Ge3 Ge 0.483 0.151 0.151
Ge4 Ge 0.517 0.849 0.849
Ge5 Ge 0.849 0.517 0.849
Ge6 Ge 0.849 0.849 0.517
```

=====

[3]
Diffraction record for Sc3Ge. The powder diffractogram is simulated, not measured: it uses DFT lattice parameters and positions (PBE) and Cu Ka.

Largest 10 diffraction maxima, sorted by position, 2θ from 10° to 90°:
- 18.5 deg, I = 2
- 23.2 deg, I = 6
- 35.7 deg, I = 100
- 37.6 deg, I = 22
- 43.4 deg, I = 28
- 58.7 deg, I = 21
- 63.0 deg, I = 9
- 66.7 deg, I = 14
- 74.6 deg, I = 20
- 75.7 deg, I = 10

Cell and atoms:
```
data_Sc3Ge
_symmetry_space_group_name_H-M 'P 1'
_symmetry_Int_Tables_number 1
_cell_length_a 5.622
_cell_length_b 5.622
_cell_length_c 5.622
_cell_angle_alpha 136.41
_cell_angle_beta 136.41
_cell_angle_gamma 63.34
loop_
_symmetry_equiv_pos_as_xyz
'x,y,z'
loop_
_atom_site_label
_atom_site_type_symbol
_atom_site_fract_x
_atom_site_fract_y
_atom_site_fract_z
Sc1 Sc 0.000 0.000 0.000
Sc2 Sc 0.250 0.750 0.500
Sc3 Sc 0.750 0.250 0.500
Ge1 Ge 0.500 0.500 0.000
```

=====

[4]
Diffraction record for NpBiO4. The powder diffractogram is simulated, not measured: it uses DFT lattice parameters and positions (PBE) and Cu Ka.

Largest 10 diffraction maxima, sorted by position, 2θ from 10° to 90°:
- 27.3 deg, I = 100
- 29.1 deg, I = 86
- 32.5 deg, I = 47
- 33.0 deg, I = 22
- 44.3 deg, I = 18
- 47.0 deg, I = 60
- 53.9 deg, I = 32
- 55.5 deg, I = 15
- 56.5 deg, I = 14
- 56.9 deg, I = 27

Cell and atoms:
```
data_NpBiO4
_symmetry_space_group_name_H-M 'P 1'
_symmetry_Int_Tables_number 1
_cell_length_a 6.796
_cell_length_b 6.586
_cell_length_c 5.531
_cell_angle_alpha 67.59
_cell_angle_beta 63.62
_cell_angle_gamma 48.79
loop_
_symmetry_equiv_pos_as_xyz
'x,y,z'
loop_
_atom_site_label
_atom_site_type_symbol
_atom_site_fract_x
_atom_site_fract_y
_atom_site_fract_z
Np1 Np 0.125 0.125 0.125
Np2 Np 0.875 0.875 0.875
Bi1 Bi 0.375 0.375 0.375
Bi2 Bi 0.625 0.625 0.625
O1 O 0.033 0.468 0.229
O2 O 0.229 0.771 0.033
O3 O 0.229 0.771 0.532
O4 O 0.468 0.033 0.771
O5 O 0.532 0.967 0.229
O6 O 0.771 0.229 0.468
O7 O 0.771 0.229 0.967
O8 O 0.967 0.532 0.771
```